No. 1
For Al4CrNi15, the GGA-PBE geometry in the Materials Project gives the simulated PXRD pattern in this record (Cu Kα (weighted mean of Kα1 and Kα2)).
Peak positions follow from Bragg's law for the DFT cell and can differ from measured ones.

Structural model:
```
data_Al4CrNi15
_chemical_formula_sum 'Al4 Cr1 Ni15'
_cell_length_a 3.5334
_cell_length_b 3.5334
_cell_length_c 17.8271
_cell_angle_alpha 90.00
_cell_angle_beta 90.00
_cell_angle_gamma 90.00
_space_group_name_H-M_alt 'P 4/m m m'
_space_group_IT_number 123
_space_group_name_Hall '-P 4 2'
loop_
_atom_site_label
_atom_site_type_symbol
_atom_site_fract_x
_atom_site_fract_y
_atom_site_fract_z
Al1 Al 0.0000 0.0000 0.0999
Al2 Al 0.0000 0.0000 0.2997
Cr1 Cr 0.0000 0.0000 0.5000
Ni1 Ni 0.0000 0.5000 0.0000
Ni2 Ni 0.0000 0.5000 0.2005
Ni3 Ni 0.0000 0.5000 0.4025
Ni4 Ni 0.5000 0.5000 0.1004
Ni5 Ni 0.5000 0.5000 0.3021
Ni6 Ni 0.5000 0.5000 0.5000
```

The 10 most intense peaks (10 to 90 degrees two-theta), low angle first:
hkl 0 0 5, 2θ = 25.0°, I = 2; hkl 1 0 0, 2θ = 25.2°, I = 5; hkl 1 0 5, 2θ = 35.8°, I = 4; hkl 1 1 0, 2θ = 35.9°, I = 2; hkl 1 1 5, 2θ = 44.3°, I = 100; hkl 0 0 10, 2θ = 51.2°, I = 16; hkl 2 0 0, 2θ = 51.7°, I = 31; hkl 2 1 5, 2θ = 64.5°, I = 1; hkl 2 0 10, 2θ = 75.8°, I = 18; hkl 2 2 0, 2θ = 76.2°, I = 9



No. 2
For TaP2NCl12, the GGA-PBE geometry in the Materials Project gives the simulated PXRD pattern in this record (Cu Kα (weighted mean of Kα1 and Kα2)).
Peak positions follow from Bragg's law for the DFT cell and can differ from measured ones.

Structural model:
```
data_TaP2NCl12
_chemical_formula_sum 'Ta4 P8 N4 Cl48'
_cell_length_a 13.9283
_cell_length_b 8.9530
_cell_length_c 15.8478
_cell_angle_alpha 90.00
_cell_angle_beta 103.83
_cell_angle_gamma 90.00
_space_group_name_H-M_alt 'C 1 2/c 1'
_space_group_IT_number 15
loop_
_space_group_symop_operation_xyz
'x,y,z'
'-x,-y,-z'
'-x,y,-z+1/2'
'x,-y,z+1/2'
'x+1/2,y+1/2,z'
'-x+1/2,-y+1/2,-z'
'-x+1/2,y+1/2,-z+1/2'
'x+1/2,-y+1/2,z+1/2'
loop_
_atom_site_label
_atom_site_type_symbol
_atom_site_fract_x
_atom_site_fract_y
_atom_site_fract_z
Ta1 Ta 0.0000 0.0000 0.0000
P1 P 0.1107 0.4293 0.2705
N1 N 0.0000 0.3771 0.2500
Cl1 Cl 0.0381 0.2596 0.5079
Cl2 Cl 0.0669 0.0199 0.1520
Cl3 Cl 0.1319 0.3691 0.8237
Cl4 Cl 0.1576 0.0561 0.9741
Cl5 Cl 0.1645 0.4340 0.1655
Cl6 Cl 0.1959 0.2905 0.3518
```

The 10 most intense peaks (10 to 90 degrees two-theta), low angle first:
hkl 1 1 0, 2θ = 11.9°, I = 40; hkl 2 0 0, 2θ = 13.1°, I = 28; hkl 2 0 -2, 2θ = 15.2°, I = 18; hkl 1 1 -2, 2θ = 15.4°, I = 100; hkl 1 1 2, 2θ = 17.6°, I = 59; hkl 2 0 2, 2θ = 19.4°, I = 19; hkl 0 2 0, 2θ = 19.8°, I = 20; hkl 3 1 0, 2θ = 22.1°, I = 35; hkl 4 0 -2, 2θ = 26.1°, I = 24; hkl 1 3 0, 2θ = 30.7°, I = 26



No. 3
For As8S9, the GGA-PBE geometry in the Materials Project gives the simulated PXRD pattern in this record (Cu Kα (weighted mean of Kα1 and Kα2)).
Peak positions follow from Bragg's law for the DFT cell and can differ from measured ones.

Structural model:
```
data_As8S9
_chemical_formula_sum 'As16 S18'
_cell_length_a 10.6434
_cell_length_b 10.2425
_cell_length_c 9.6405
_cell_angle_alpha 90.00
_cell_angle_beta 101.23
_cell_angle_gamma 90.00
_space_group_name_H-M_alt 'P 1 2/c 1'
_space_group_IT_number 13
loop_
_space_group_symop_operation_xyz
'x,y,z'
'-x,-y,-z'
'-x,y,-z+1/2'
'x,-y,z+1/2'
loop_
_atom_site_label
_atom_site_type_symbol
_atom_site_fract_x
_atom_site_fract_y
_atom_site_fract_z
As1 As 0.0175 0.2294 0.4354
As2 As 0.1580 0.4124 0.3472
As3 As 0.3824 0.0374 0.6817
As4 As 0.4393 0.3164 0.9281
S1 S 0.0000 0.0912 0.2500
S2 S 0.0000 0.4489 0.7500
S3 S 0.1767 0.3213 0.1388
S4 S 0.2915 0.1691 0.8225
S5 S 0.4007 0.1695 0.4969
S6 S 0.5000 0.4328 0.7500
```

The 10 most intense peaks (10 to 90 degrees two-theta), low angle first:
hkl 1 1 0, 2θ = 12.1°, I = 46; hkl 1 1 -1, 2θ = 14.3°, I = 100; hkl 1 1 1, 2θ = 16.3°, I = 88; hkl 2 0 0, 2θ = 17.0°, I = 38; hkl 1 1 -2, 2θ = 20.9°, I = 47; hkl 0 2 2, 2θ = 25.6°, I = 61; hkl 3 1 0, 2θ = 27.1°, I = 54; hkl 2 2 1, 2θ = 27.3°, I = 72; hkl 2 2 -2, 2θ = 28.8°, I = 87; hkl 2 4 3, 2θ = 51.1°, I = 50